KCd10Au2: calculated XRD peak list (copper Kα), based on a cell relaxed with PBE.
No peak broadening, texture or thermal motion is included.

The 10 most intense peaks (2θ = 5–70°), by intensity:
d (Å), Rel. int.
2.581, 100
2.511, 78
2.308, 73
2.270, 62
2.283, 61
5.022, 60
7.011, 41
2.503, 39
2.553, 34
1.463, 34

Atomic structure:
```
data_KCd10Au2
_space_group_name_H-M_alt 'P 1'
_space_group_IT_number 1
_space_group_name_Hall 'P 1'
_cell_length_a 10.0467
_cell_length_b 7.7997
_cell_length_c 7.6295
_cell_angle_alpha 81.25
_cell_angle_beta 50.11
_cell_angle_gamma 48.64
loop_
_atom_site_label
_atom_site_fract_x
_atom_site_fract_y
_atom_site_fract_z
K1 0.0000 0.0000 0.0000
Cd1 0.0000 0.5000 0.0000
Cd2 0.0088 0.6500 0.3500
Cd3 0.2813 0.5037 0.4963
Cd4 0.3500 0.9912 0.0088
Cd5 0.4963 0.7187 0.2813
Cd6 0.5000 0.0000 0.5000
Cd7 0.5037 0.2813 0.7187
Cd8 0.6500 0.0088 0.9912
Cd9 0.7187 0.4963 0.5037
Cd10 0.9912 0.3500 0.6500
Au1 0.0000 0.0000 0.5000
Au2 0.5000 0.5000 0.0000
```

***

KCd3Au2: calculated XRD peak list (copper Kα), based on a cell relaxed with PBE.
No peak broadening, texture or thermal motion is included.

The 10 most intense peaks (2θ = 5–70°), by intensity:
d (Å), Rel. int.
2.354, 100
8.414, 95
4.158, 85
2.626, 82
2.331, 76
2.244, 71
4.653, 64
2.867, 55
7.446, 46
3.122, 44

Atomic structure:
```
data_KCd3Au2
_space_group_name_H-M_alt 'P 1'
_space_group_IT_number 1
_space_group_name_Hall 'P 1'
_cell_length_a 8.6146
_cell_length_b 8.6146
_cell_length_c 9.3692
_cell_angle_alpha 115.06
_cell_angle_beta 115.06
_cell_angle_gamma 31.40
loop_
_atom_site_label
_atom_site_fract_x
_atom_site_fract_y
_atom_site_fract_z
K1 0.1525 0.1525 0.0896
K2 0.8475 0.8475 0.9104
Cd1 0.0159 0.0159 0.3345
Cd2 0.3243 0.3243 0.5612
Cd3 0.3962 0.3962 0.3018
Cd4 0.6038 0.6038 0.6982
Cd5 0.6757 0.6757 0.4388
Cd6 0.9841 0.9841 0.6655
Au1 0.1747 0.1747 0.6310
Au2 0.4881 0.4881 0.8475
Au3 0.5119 0.5119 0.1525
Au4 0.8253 0.8253 0.3690
```

***

K2Cd6Au9: calculated XRD peak list (copper Kα), based on a cell relaxed with PBE.
No peak broadening, texture or thermal motion is included.

The 10 most intense peaks (2θ = 5–70°), by intensity:
d (Å), Rel. int.
2.220, 100
5.024, 69
2.475, 60
2.512, 39
2.374, 31
4.747, 27
1.725, 25
1.450, 20
2.146, 16
1.579, 15

Atomic structure:
```
data_K2Cd6Au9
_space_group_name_H-M_alt 'P 1'
_space_group_IT_number 1
_space_group_name_Hall 'P 1'
_cell_length_a 5.8015
_cell_length_b 5.8015
_cell_length_c 14.2427
_cell_angle_alpha 90.00
_cell_angle_beta 90.00
_cell_angle_gamma 120.00
loop_
_atom_site_label
_atom_site_fract_x
_atom_site_fract_y
_atom_site_fract_z
K1 0.0000 0.0000 0.1800
K2 0.0000 0.0000 0.8200
Cd1 0.3333 0.6667 0.1660
Cd2 0.3333 0.6667 0.5000
Cd3 0.3333 0.6667 0.8340
Cd4 0.6667 0.3333 0.1660
Cd5 0.6667 0.3333 0.5000
Cd6 0.6667 0.3333 0.8340
Au1 0.0000 0.5000 0.0000
Au2 0.0000 0.5000 0.3334
Au3 0.0000 0.5000 0.6666
Au4 0.5000 0.0000 0.0000
Au5 0.5000 0.0000 0.3334
Au6 0.5000 0.0000 0.6666
Au7 0.5000 0.5000 0.0000
Au8 0.5000 0.5000 0.3334
Au9 0.5000 0.5000 0.6666
```

***

K3Cd4Au: calculated XRD peak list (copper Kα), based on a cell relaxed with PBE.
No peak broadening, texture or thermal motion is included.

The 10 most intense peaks (2θ = 5–70°), by intensity:
d (Å), Rel. int.
6.291, 100
3.100, 72
5.447, 68
2.457, 65
2.781, 52
2.208, 51
4.789, 45
2.289, 33
2.157, 29
2.184, 28

Atomic structure:
```
data_K3Cd4Au
_space_group_name_H-M_alt 'P 1'
_space_group_IT_number 1
_space_group_name_Hall 'P 1'
_cell_length_a 6.1999
_cell_length_b 7.5419
_cell_length_c 11.4072
_cell_angle_alpha 90.00
_cell_angle_beta 90.00
_cell_angle_gamma 90.00
loop_
_atom_site_label
_atom_site_fract_x
_atom_site_fract_y
_atom_site_fract_z
K1 0.0000 0.0000 0.0000
K2 0.0000 0.2362 0.3476
K3 0.0000 0.7638 0.3476
K4 0.5000 0.2638 0.8476
K5 0.5000 0.5000 0.5000
K6 0.5000 0.7362 0.8476
Cd1 0.0000 0.3088 0.6735
Cd2 0.0000 0.6912 0.6735
Cd3 0.2408 0.5000 0.1018
Cd4 0.2592 0.0000 0.6018
Cd5 0.5000 0.1912 0.1735
Cd6 0.5000 0.8088 0.1735
Cd7 0.7408 0.0000 0.6018
Cd8 0.7592 0.5000 0.1018
Au1 0.0000 0.5000 0.8884
Au2 0.5000 0.0000 0.3884
```

***

KCdAu10: calculated XRD peak list (copper Kα), based on a cell relaxed with PBE.
No peak broadening, texture or thermal motion is included.

The 10 most intense peaks (2θ = 5–70°), by intensity:
d (Å), Rel. int.
2.414, 100
4.873, 66
2.162, 62
2.352, 41
2.437, 28
2.166, 23
1.692, 19
1.369, 17
2.118, 16
1.534, 16

Atomic structure:
```
data_KCdAu10
_space_group_name_H-M_alt 'P 1'
_space_group_IT_number 1
_space_group_name_Hall 'P 1'
_cell_length_a 4.7034
_cell_length_b 5.6164
_cell_length_c 9.7619
_cell_angle_alpha 90.00
_cell_angle_beta 90.00
_cell_angle_gamma 90.00
loop_
_atom_site_label
_atom_site_fract_x
_atom_site_fract_y
_atom_site_fract_z
K1 0.0000 0.0000 0.0000
Cd1 0.0000 0.5000 0.5000
Au1 0.0000 0.0000 0.3434
Au2 0.0000 0.0000 0.6566
Au3 0.0000 0.5000 0.1915
Au4 0.0000 0.5000 0.8085
Au5 0.5000 0.0000 0.5000
Au6 0.5000 0.2481 0.2499
Au7 0.5000 0.2481 0.7501
Au8 0.5000 0.5000 0.0000
Au9 0.5000 0.7519 0.2499
Au10 0.5000 0.7519 0.7501
```

***

K2LiCd4Au3: calculated XRD peak list (copper Kα), based on a cell relaxed with PBE.
No peak broadening, texture or thermal motion is included.

The 10 most intense peaks (2θ = 5–70°), by intensity:
d (Å), Rel. int.
4.376, 100
2.227, 87
2.350, 72
2.907, 70
3.047, 51
2.138, 37
2.070, 29
1.581, 28
1.661, 24
1.861, 24

Atomic structure:
```
data_K2LiCd4Au3
_space_group_name_H-M_alt 'P 1'
_space_group_IT_number 1
_space_group_name_Hall 'P 1'
_cell_length_a 4.6993
_cell_length_b 4.6993
_cell_length_c 12.0062
_cell_angle_alpha 90.00
_cell_angle_beta 90.00
_cell_angle_gamma 90.00
loop_
_atom_site_label
_atom_site_fract_x
_atom_site_fract_y
_atom_site_fract_z
K1 0.0000 0.5000 0.2437
K2 0.5000 0.0000 0.7563
Li1 0.0000 0.0000 0.5000
Cd1 0.0000 0.0000 0.0000
Cd2 0.0000 0.5000 0.6326
Cd3 0.5000 0.0000 0.3674
Cd4 0.5000 0.5000 0.0000
Au1 0.0000 0.5000 0.8638
Au2 0.5000 0.0000 0.1362
Au3 0.5000 0.5000 0.5000
```

***

K6Cd2AuO: calculated XRD peak list (copper Kα), based on a cell relaxed with PBE.
No peak broadening, texture or thermal motion is included.

The 10 most intense peaks (2θ = 5–70°), by intensity:
d (Å), Rel. int.
4.175, 100
2.952, 70
2.088, 40
2.411, 37
3.561, 36
2.709, 29
6.819, 25
3.409, 19
1.579, 16
1.868, 16

Atomic structure:
```
data_K6Cd2AuO
_space_group_name_H-M_alt 'P 1'
_space_group_IT_number 1
_space_group_name_Hall 'P 1'
_cell_length_a 8.3462
_cell_length_b 8.3462
_cell_length_c 8.3410
_cell_angle_alpha 119.91
_cell_angle_beta 119.91
_cell_angle_gamma 90.04
loop_
_atom_site_label
_atom_site_fract_x
_atom_site_fract_y
_atom_site_fract_z
K1 0.2232 0.2232 0.9995
K2 0.2233 0.2233 0.4469
K3 0.2235 0.7765 0.0000
K4 0.7765 0.2235 0.0000
K5 0.7768 0.7768 0.0005
K6 0.7767 0.7767 0.5531
Cd1 0.2506 0.7494 0.5000
Cd2 0.7494 0.2506 0.5000
Au1 0.5000 0.5000 0.0000
O1 0.0000 0.0000 0.0000
```

***

KRbCdAu2: calculated XRD peak list (copper Kα), based on a cell relaxed with PBE.
No peak broadening, texture or thermal motion is included.

The 10 most intense peaks (2θ = 5–70°), by intensity:
d (Å), Rel. int.
3.099, 100
5.011, 45
2.481, 45
2.674, 34
4.280, 27
2.417, 25
3.565, 24
1.793, 22
2.242, 21
1.718, 18

Atomic structure:
```
data_KRbCdAu2
_space_group_name_H-M_alt 'P 1'
_space_group_IT_number 1
_space_group_name_Hall 'P 1'
_cell_length_a 4.4844
_cell_length_b 5.3477
_cell_length_c 14.3464
_cell_angle_alpha 90.00
_cell_angle_beta 90.00
_cell_angle_gamma 90.00
loop_
_atom_site_label
_atom_site_fract_x
_atom_site_fract_y
_atom_site_fract_z
K1 0.0000 0.0000 0.0000
K2 0.5000 0.5000 0.5000
Rb1 0.0000 0.5000 0.2102
Rb2 0.5000 0.0000 0.7102
Cd1 0.0000 0.5000 0.8570
Cd2 0.5000 0.0000 0.3570
Au1 0.0000 0.0000 0.4828
Au2 0.0000 0.5000 0.6618
Au3 0.5000 0.0000 0.1618
Au4 0.5000 0.5000 0.9828
```